[1]
Zr5Sc5Bi6: calculated powder diffractogram (Cu Kα (λ = 1.5418 Å)), based on a cell relaxed with PBE.

Principal peaks in the range 5° ≤ 2θ ≤ 70°, in order of rising 2θ:
- 2θ 11.71, intensity 44
- 2θ 25.32, intensity 100
- 2θ 30.06, intensity 28
- 2θ 34.85, intensity 72
- 2θ 35.65, intensity 77
- 2θ 36.58, intensity 80
- 2θ 38.54, intensity 21
- 2θ 44.23, intensity 22
- 2θ 45.93, intensity 25
- 2θ 50.59, intensity 17
- 2θ 56.53, intensity 18
- 2θ 69.82, intensity 21

Crystal structure
Cell: 5.9448 15.0967 8.7335 Å, 90.00 90.00 90.00°
Space group Amm2 (No. 38)
One atom of each set of equivalent atoms:
Zr (0.0000, 0.0000, 0.0000) x2
Zr (0.2497, 0.1661, 0.2374) x8
Sc (0.0000, 0.1278, 0.6131) x4
Sc (0.5000, 0.0000, 0.4819) x2
Sc (0.5000, 0.1266, 0.8656) x4
Bi (0.0000, 0.0000, 0.3600) x2
Bi (0.0000, 0.1925, 0.9294) x4
Bi (0.5000, 0.0000, 0.1217) x2
Bi (0.5000, 0.1910, 0.5474) x4

---

[2]
Pu4Ge2PdAu: calculated powder diffractogram (Cu Kα (λ = 1.5418 Å)), based on a cell relaxed with PBE.

Principal peaks in the range 5° ≤ 2θ ≤ 70°, in order of rising 2θ:
- 2θ 6.44, intensity 61
- 2θ 12.91, intensity 32
- 2θ 28.49, intensity 40
- 2θ 29.48, intensity 18
- 2θ 32.08, intensity 41
- 2θ 35.75, intensity 100
- 2θ 37.17, intensity 28
- 2θ 40.26, intensity 47
- 2θ 47.24, intensity 36
- 2θ 49.82, intensity 75
- 2θ 62.83, intensity 20
- 2θ 65.94, intensity 27

Crystal structure
Cell: 3.6605 3.6605 41.1564 Å, 90.00 90.00 120.00°
Space group R-3m (No. 166, hexagonal axes)
One atom of each set of equivalent atoms:
Pu (0.0000, 0.0000, 0.0844) x6
Pu (0.0000, 0.0000, 0.3859) x6
Ge (0.0000, 0.0000, 0.2003) x6
Pd (0.0000, 0.0000, 0.5000) x3
Au (0.0000, 0.0000, 0.0000) x3

---

[3]
Ho2Ga5Co4: calculated powder diffractogram (Cu Kα (λ = 1.5418 Å)), based on a cell relaxed with PBE.

Principal peaks in the range 5° ≤ 2θ ≤ 70°, in order of rising 2θ:
- 2θ 26.60, intensity 64
- 2θ 30.91, intensity 47
- 2θ 34.34, intensity 14
- 2θ 34.48, intensity 36
- 2θ 38.61, intensity 100
- 2θ 39.23, intensity 20
- 2θ 39.70, intensity 54
- 2θ 42.27, intensity 67
- 2θ 48.91, intensity 22
- 2θ 55.45, intensity 20
- 2θ 64.36, intensity 25
- 2θ 65.96, intensity 24

Crystal structure
Cell: 5.2228 9.1857 14.8964 Å, 90.00 90.00 90.00°
Space group Fmmm (No. 69)
One atom of each set of equivalent atoms:
Ho (0.0000, 0.0000, 0.1483) x8
Ga (0.0000, 0.0000, 0.5000) x4
Ga (0.2500, 0.2500, 0.0000) x8
Ga (0.2500, 0.2500, 0.2500) x8
Co (0.0000, 0.1547, 0.3722) x16

---

[4]
Rb3Be2S4: calculated powder diffractogram (Cu Kα (λ = 1.5418 Å)), based on a cell relaxed with PBE.

Principal peaks in the range 5° ≤ 2θ ≤ 70°, in order of rising 2θ:
- 2θ 18.48, intensity 41
- 2θ 19.89, intensity 35
- 2θ 23.31, intensity 79
- 2θ 27.46, intensity 33
- 2θ 28.45, intensity 39
- 2θ 31.30, intensity 100
- 2θ 32.77, intensity 52
- 2θ 34.14, intensity 83
- 2θ 35.69, intensity 30
- 2θ 42.81, intensity 32
- 2θ 46.27, intensity 28
- 2θ 57.86, intensity 25

Crystal structure
Cell: 17.5513 10.0577 6.2742 Å, 90.00 110.91 90.00°
Space group C2/c (No. 15)
One atom of each set of equivalent atoms:
Rb (0.0000, 0.1302, 0.2500) x4
Rb (0.1590, 0.3546, 0.9089) x8
Be (0.2160, 0.1343, 0.4664) x8
S (0.1596, 0.3215, 0.4095) x8
S (0.1672, 0.0000, 0.1674) x8

---

[5]
NaTi2Ag2: calculated powder diffractogram (Cu Kα (λ = 1.5418 Å)), based on a cell relaxed with PBE.

Principal peaks in the range 5° ≤ 2θ ≤ 70°, in order of rising 2θ:
- 2θ 14.91, intensity 35
- 2θ 21.14, intensity 29
- 2θ 23.67, intensity 39
- 2θ 30.08, intensity 14
- 2θ 32.18, intensity 11
- 2θ 33.73, intensity 44
- 2θ 38.63, intensity 15
- 2θ 38.82, intensity 18
- 2θ 40.34, intensity 100
- 2θ 44.45, intensity 34
- 2θ 45.81, intensity 17
- 2θ 55.92, intensity 25

Crystal structure
Cell: 8.4036 8.4036 2.7819 Å, 90.00 90.00 90.00°
Space group P4/mbm (No. 127)
One atom of each set of equivalent atoms:
Na (0.0000, 0.0000, 0.0000) x2
Ti (0.1151, 0.3849, 0.5000) x4
Ag (0.1777, 0.6777, 0.0000) x4

---

[6]
YHoTlRh: calculated powder diffractogram (Cu Kα (λ = 1.5418 Å)), based on a cell relaxed with PBE.

Principal peaks in the range 5° ≤ 2θ ≤ 70°, in order of rising 2θ:
- 2θ 11.67, intensity 7
- 2θ 27.84, intensity 16
- 2θ 34.68, intensity 100
- 2θ 35.50, intensity 5
- 2θ 35.92, intensity 49
- 2θ 47.97, intensity 8
- 2θ 51.39, intensity 7
- 2θ 51.70, intensity 17
- 2θ 59.73, intensity 4
- 2θ 61.36, intensity 15
- 2θ 63.76, intensity 34
- 2θ 67.14, intensity 5

Crystal structure
Cell: 3.5361 3.5361 7.5855 Å, 90.00 90.00 90.00°
Space group P4mm (No. 99)
One atom of each set of equivalent atoms:
Y (0.0000, 0.0000, 0.0000) x1
Ho (0.0000, 0.0000, 0.5684) x1
Tl (0.5000, 0.5000, 0.2856) x1
Rh (0.5000, 0.5000, 0.7781) x1

---

[7]
CsAg4Pb3Br12: calculated powder diffractogram (Cu Kα (λ = 1.5418 Å)), based on a cell relaxed with PBE.

Principal peaks in the range 5° ≤ 2θ ≤ 70°, in order of rising 2θ:
- 2θ 11.13, intensity 21
- 2θ 18.79, intensity 56
- 2θ 20.39, intensity 100
- 2θ 28.25, intensity 59
- 2θ 36.33, intensity 31
- 2θ 37.24, intensity 21
- 2θ 39.81, intensity 24
- 2θ 40.95, intensity 41
- 2θ 46.14, intensity 21
- 2θ 49.08, intensity 29
- 2θ 57.16, intensity 25
- 2θ 65.34, intensity 23

Crystal structure
Cell: 15.8933 15.8933 11.2503 Å, 90.00 90.00 120.00°
Space group R32 (No. 155, hexagonal axes)
One atom of each set of equivalent atoms:
Cs (0.0000, 0.0000, 0.0000) x3
Ag (0.0000, 0.0000, 0.5000) x3
Ag (0.0000, 0.4173, 0.5000) x9
Pb (0.0000, 0.5666, 0.0000) x9
Br (0.0000, 0.5882, 0.5000) x9
Br (0.0000, 0.8368, 0.5000) x9
Br (0.0502, 0.2077, 0.1992) x18